Structure and computed XRD peak list of BaLa14Nd (a structure optimized by DFT (PBE); Cu Kα).

Structural model:
Cell lengths 7.5069, 7.5069, 10.5697 Å; angles 90.00, 90.00, 90.00 degrees
Positions (direct):
Ba1 0.0000 0.0000 0.0000
La1 0.0000 0.0000 0.5000
La2 0.0000 0.5000 0.0000
La3 0.0000 0.5000 0.5000
La4 0.2584 0.2584 0.2564
La5 0.2584 0.2584 0.7436
La6 0.2584 0.7416 0.2564
La7 0.2584 0.7416 0.7436
La8 0.5000 0.0000 0.0000
La9 0.5000 0.0000 0.5000
La10 0.5000 0.5000 0.5000
La11 0.7416 0.2584 0.2564
La12 0.7416 0.2584 0.7436
La13 0.7416 0.7416 0.2564
La14 0.7416 0.7416 0.7436
Nd1 0.5000 0.5000 0.0000

Most intense lines, 10 to 80 degrees two-theta, in order of rising 2θ:
- 2θ = 29.2°, d = 3.060 Å, I = 100, (2 0 2)
- 2θ = 33.8°, d = 2.654 Å, I = 34, (2 2 0)
- 2θ = 33.9°, d = 2.642 Å, I = 17, (0 0 4)
- 2θ = 48.6°, d = 1.873 Å, I = 24, (2 2 4)
- 2θ = 57.6°, d = 1.600 Å, I = 29, (4 2 2)
- 2θ = 57.8°, d = 1.595 Å, I = 14, (2 0 6)

---

Structure and computed XRD peak list of PmSmDyS3 (a structure optimized by DFT (PBE); Cu Kα).

Structural model:
Cell lengths 6.9070, 3.8883, 10.3870 Å; angles 90.00, 102.44, 90.00 degrees
Positions (direct):
Pm1 0.1561 0.2500 0.1978
Pm2 0.8439 0.7500 0.8022
Sm1 0.3744 0.2500 0.8695
Sm2 0.6256 0.7500 0.1305
Dy1 0.2670 0.7500 0.5560
Dy2 0.7330 0.2500 0.4440
S1 0.0442 0.2500 0.6589
S2 0.2136 0.7500 0.0060
S3 0.4457 0.7500 0.3455
S4 0.5543 0.2500 0.6545
S5 0.7864 0.2500 0.9940
S6 0.9558 0.7500 0.3411

Most intense lines, 10 to 80 degrees two-theta, in order of rising 2θ:
- 2θ = 26.0°, d = 3.429 Å, I = 33, (2 0 -1)
- 2θ = 26.4°, d = 3.377 Å, I = 33, (0 0 3)
- 2θ = 28.8°, d = 3.099 Å, I = 89, (1 1 1)
- 2θ = 30.2°, d = 2.956 Å, I = 100, (1 1 -2)
- 2θ = 35.0°, d = 2.565 Å, I = 26, (2 0 2)
- 2θ = 46.7°, d = 1.945 Å, I = 41, (0 2 0)